No. 1
For Pm4Tl3Sn, a crystal structure in Alexandria, relaxed with PBE gives the theoretical powder diffractogram in this record (Cu Kα (λ = 1.5418 Å)).
Neutral-atom scattering factors, no anomalous dispersion.

Largest 10 diffraction maxima, sorted by position, 2θ from 10° to 90°:
(1 1 1), 28.72 deg, I = 100
(0 0 4), 30.31 deg, I = 34
(1 1 3), 36.04 deg, I = 86
(1 0 4), 36.57 deg, I = 19
(0 2 0), 38.47 deg, I = 29
(2 0 0), 40.61 deg, I = 25
(0 2 4), 49.74 deg, I = 17
(2 0 4), 51.51 deg, I = 15
(2 2 0), 57.18 deg, I = 18
(2 2 4), 66.09 deg, I = 15

```
data_Pm4Tl3Sn
_chemical_formula_sum 'Pm4 Tl3 Sn1'
_cell_length_a 4.4429
_cell_length_b 4.6799
_cell_length_c 11.7948
_cell_angle_alpha 90.00
_cell_angle_beta 90.00
_cell_angle_gamma 90.00
_space_group_name_H-M_alt 'P m m 2'
_space_group_IT_number 25
loop_
_space_group_symop_operation_xyz
'x,y,z'
'-x,-y,z'
'-x,y,z'
'x,-y,z'
loop_
_atom_site_label
_atom_site_type_symbol
_atom_site_fract_x
_atom_site_fract_y
_atom_site_fract_z
Pm1 Pm 0.0000 0.0000 0.0000
Pm2 Pm 0.0000 0.5000 0.4962
Pm3 Pm 0.5000 0.0000 0.7273
Pm4 Pm 0.5000 0.5000 0.2264
Tl1 Tl 0.0000 0.5000 0.7709
Tl2 Tl 0.5000 0.0000 0.4529
Tl3 Tl 0.5000 0.5000 0.9530
Sn1 Sn 0.0000 0.0000 0.2761
```

No. 2
For PrBe4Ge3O12, a crystal structure in Alexandria, relaxed with PBE gives the theoretical powder diffractogram in this record (Cu Kα (λ = 1.5418 Å)).
Neutral-atom scattering factors, no anomalous dispersion.

Largest 10 diffraction maxima, sorted by position, 2θ from 10° to 90°:
(1 1 0), 17.98 deg, I = 31
(0 2 1), 24.16 deg, I = 100
(2 1 1), 30.28 deg, I = 26
(2 0 2), 32.34 deg, I = 77
(2 2 0), 36.42 deg, I = 21
(1 2 2), 37.24 deg, I = 14
(3 1 2), 45.70 deg, I = 29
(2 2 3), 52.97 deg, I = 21
(0 2 4), 54.90 deg, I = 14
(5 2 0), 68.58 deg, I = 14

```
data_PrBe4Ge3O12
_chemical_formula_sum 'Pr3 Be12 Ge9 O36'
_cell_length_a 9.8673
_cell_length_b 9.8673
_cell_length_c 7.2698
_cell_angle_alpha 90.00
_cell_angle_beta 90.00
_cell_angle_gamma 120.00
_space_group_name_H-M_alt 'R 3 2'
_space_group_IT_number 155
_space_group_name_Hall 'R 3 2"'
loop_
_atom_site_label
_atom_site_type_symbol
_atom_site_fract_x
_atom_site_fract_y
_atom_site_fract_z
Pr1 Pr 0.0000 0.0000 0.0000
Be1 Be 0.0000 0.0000 0.5000
Be2 Be 0.0000 0.4331 0.5000
Ge1 Ge 0.0000 0.5615 0.0000
O1 O 0.0000 0.5916 0.5000
O2 O 0.0000 0.8413 0.5000
O3 O 0.0488 0.2223 0.1908
```

No. 3
For HgPS2, a crystal structure in Alexandria, relaxed with PBE gives the theoretical powder diffractogram in this record (Cu Kα (λ = 1.5418 Å)).
Neutral-atom scattering factors, no anomalous dispersion.

Largest 10 diffraction maxima, sorted by position, 2θ from 10° to 90°:
(2 0 0), 16.85 deg, I = 25
(1 1 -1), 20.00 deg, I = 100
(1 1 1), 25.58 deg, I = 58
(3 1 -1), 26.91 deg, I = 32
(2 0 1), 27.85 deg, I = 30
(0 2 0), 29.92 deg, I = 34
(4 0 -2), 32.98 deg, I = 28
(2 2 0), 34.53 deg, I = 18
(1 1 2), 38.94 deg, I = 27
(4 2 -2), 45.12 deg, I = 17

```
data_HgPS2
_chemical_formula_sum 'Hg4 P4 S8'
_cell_length_a 12.0411
_cell_length_b 5.9729
_cell_length_c 6.6591
_cell_angle_alpha 90.00
_cell_angle_beta 119.09
_cell_angle_gamma 90.00
_space_group_name_H-M_alt 'C 1 2 1'
_space_group_IT_number 5
loop_
_space_group_symop_operation_xyz
'x,y,z'
'-x,y,-z'
'x+1/2,y+1/2,z'
'-x+1/2,y+1/2,-z'
loop_
_atom_site_label
_atom_site_type_symbol
_atom_site_fract_x
_atom_site_fract_y
_atom_site_fract_z
Hg1 Hg 0.2039 0.0000 0.1834
P1 P 0.0371 0.6531 0.3711
S1 S 0.0569 0.0005 0.3349
S2 S 0.1335 0.5521 0.9307
```